Diffraction record for Nd2NiGePt6. The X-ray diffraction stick pattern is simulated, not measured: it uses the PBE geometry in Alexandria and a wavelength of 1.5418 Å.
Peak positions follow from Bragg's law for the DFT cell and can differ from measured ones.

Most intense lines, 10 to 90 degrees two-theta, sorted by position:
2θ/deg	Rel. int.
21.09	31.2
28.50	46.0
29.19	37.9
29.96	36.3
39.02	100.0
39.35	65.9
41.32	25.1
41.71	69.2
42.17	28.6
44.50	24.9

Crystal structure
```
Nd2NiGePt6
1.0
5.968 -2.728 0.000
5.968 2.728 0.000
-5.796 0.000 6.119
Nd Ni Ge Pt
2 1 1 6
direct
0.236 0.236 0.203 Nd
0.764 0.764 0.797 Nd
0.500 0.500 0.000 Ni
0.000 0.000 0.500 Ge
0.245 0.737 0.245 Pt
0.252 0.252 0.604 Pt
0.263 0.755 0.755 Pt
0.737 0.245 0.245 Pt
0.748 0.748 0.396 Pt
0.755 0.263 0.755 Pt
```

Diffraction record for Nd2SiNi6Ge. The X-ray diffraction stick pattern is simulated, not measured: it uses the PBE geometry in Alexandria and a wavelength of 1.5418 Å.
Peak positions follow from Bragg's law for the DFT cell and can differ from measured ones.

Most intense lines, 10 to 90 degrees two-theta, sorted by position:
2θ/deg	Rel. int.
29.40	96.5
33.37	66.9
33.46	32.7
34.14	66.5
34.28	33.0
35.97	85.4
36.14	42.5
41.41	100.0
44.11	49.6
55.28	47.4

Crystal structure
```
Nd2SiNi6Ge
1.0
6.067 0.000 0.000
3.023 5.270 0.000
3.013 1.733 5.197
Nd Si Ni Ge
2 1 6 1
direct
0.217 0.217 0.349 Nd
0.783 0.783 0.651 Nd
0.000 0.000 0.000 Si
0.245 0.649 0.859 Ni
0.246 0.245 0.856 Ni
0.349 0.754 0.143 Ni
0.651 0.246 0.857 Ni
0.754 0.755 0.144 Ni
0.755 0.351 0.141 Ni
0.500 0.500 0.500 Ge
```

Diffraction record for Nd3Si2Ni9Ge. The X-ray diffraction stick pattern is simulated, not measured: it uses the PBE geometry in Alexandria and a wavelength of 1.5418 Å.
Peak positions follow from Bragg's law for the DFT cell and can differ from measured ones.

Most intense lines, 10 to 90 degrees two-theta, sorted by position:
2θ/deg	Rel. int.
27.67	34.8
29.93	33.7
32.58	28.9
36.42	87.2
41.22	100.0
47.48	18.5
51.77	23.3
57.15	23.8
62.20	26.8
71.99	13.4

Crystal structure
```
Nd3Si2Ni9Ge
1.0
5.970 0.000 0.000
-2.985 5.170 0.000
0.000 0.000 8.246
Nd Si Ni Ge
3 2 9 1
direct
0.000 0.000 0.000 Nd
0.333 0.667 0.657 Nd
0.667 0.333 0.343 Nd
0.333 0.667 0.180 Si
0.667 0.333 0.820 Si
0.000 0.500 0.000 Ni
0.141 0.281 0.282 Ni
0.141 0.859 0.282 Ni
0.281 0.141 0.718 Ni
0.500 0.000 0.000 Ni
0.500 0.500 0.000 Ni
0.719 0.859 0.282 Ni
0.859 0.141 0.718 Ni
0.859 0.719 0.718 Ni
0.000 0.000 0.500 Ge
```

Diffraction record for NdThNi2Ge2. The X-ray diffraction stick pattern is simulated, not measured: it uses the PBE geometry in Alexandria and a wavelength of 1.5418 Å.
Peak positions follow from Bragg's law for the DFT cell and can differ from measured ones.

Most intense lines, 10 to 90 degrees two-theta, sorted by position:
2θ/deg	Rel. int.
24.63	20.8
33.24	100.0
43.36	39.0
44.80	13.0
51.79	6.8
55.70	23.3
64.11	23.8
73.11	20.3
75.19	9.3
79.56	6.6

Crystal structure
```
NdThNi2Ge2
1.0
4.174 0.000 0.000
-2.087 3.614 0.000
0.000 0.000 8.093
Nd Th Ni Ge
1 1 2 2
direct
0.000 0.000 0.000 Nd
0.000 0.000 0.500 Th
0.333 0.667 0.741 Ni
0.667 0.333 0.259 Ni
0.333 0.667 0.250 Ge
0.667 0.333 0.750 Ge
```